# 1
The following is a computed X-ray powder pattern of Tm2ReTeO6. It was derived from DFT lattice parameters and positions (GGA-PBE), using Cu Kα (weighted mean of Kα1 and Kα2).

Structural model:
```
data_Tm2ReTeO6
_chemical_formula_sum 'Tm4 Re2 Te2 O12'
_cell_length_a 5.275
_cell_length_b 5.335
_cell_length_c 10.298
_cell_angle_alpha 90.00
_cell_angle_beta 112.34
_cell_angle_gamma 90.00
_space_group_name_H-M_alt 'P 1 21/c 1'
_space_group_IT_number 14
_space_group_name_Hall '-P 2ybc'
loop_
_atom_site_label
_atom_site_fract_x
_atom_site_fract_y
_atom_site_fract_z
Tm1 0.228 0.064 0.243
Re1 0.000 0.000 0.500
Te1 0.500 0.000 0.000
O1 0.066 0.224 0.888
O2 0.169 0.720 0.895
O3 0.353 0.087 0.653
```

Most intense lines, 2θ from 10° to 80°, by intensity:
| 2theta | d_spacing | intensity |
| --- | --- | --- |
| 28.9 | 3.093 | 1000 |
| 31.9 | 2.803 | 925 |
| 34.3 | 2.611 | 291 |
| 48.8 | 1.866 | 273 |
| 33.6 | 2.667 | 240 |
| 37.8 | 2.381 | 223 |
| 51.4 | 1.776 | 198 |
| 56.3 | 1.633 | 179 |
| 47.9 | 1.898 | 179 |
| 61.1 | 1.517 | 171 |
| 55.8 | 1.647 | 157 |
| 61.8 | 1.502 | 129 |


# 2
The following is a computed X-ray powder pattern of Tl6ReO6. It was derived from DFT lattice parameters and positions (GGA-PBE), using Cu Kα (weighted mean of Kα1 and Kα2).

Structural model:
```
data_Tl6ReO6
_chemical_formula_sum 'Tl18 Re3 O18'
_cell_length_a 9.5066
_cell_length_b 9.5066
_cell_length_c 10.2537
_cell_angle_alpha 90.00
_cell_angle_beta 90.00
_cell_angle_gamma 120.00
_space_group_name_H-M_alt 'R -3'
_space_group_IT_number 148
_space_group_name_Hall '-R 3'
loop_
_atom_site_label
_atom_site_fract_x
_atom_site_fract_y
_atom_site_fract_z
Tl1 0.0623 0.8236 0.1623
Re1 0.0000 0.0000 0.5000
O1 0.0397 0.8559 0.3958
```

Most intense lines, 2θ from 10° to 80°, by intensity:
| 2theta | d_spacing | intensity |
| --- | --- | --- |
| 30.0 | 2.978 | 1000 |
| 33.7 | 2.660 | 647 |
| 26.1 | 3.418 | 446 |
| 45.9 | 1.979 | 341 |
| 58.0 | 1.590 | 291 |
| 50.8 | 1.797 | 233 |
| 53.5 | 1.712 | 207 |
| 77.0 | 1.239 | 190 |
| 60.2 | 1.538 | 125 |
| 62.4 | 1.489 | 112 |
| 70.8 | 1.330 | 84 |
| 71.1 | 1.325 | 80 |


# 3
The following is a computed X-ray powder pattern of TmReO3. It was derived from DFT lattice parameters and positions (GGA-PBE), using Cu Kα (weighted mean of Kα1 and Kα2).

Structural model:
```
data_TmReO3
_chemical_formula_sum 'Tm4 Re4 O12'
_cell_length_a 5.115
_cell_length_b 7.566
_cell_length_c 6.260
_cell_angle_alpha 90.00
_cell_angle_beta 90.00
_cell_angle_gamma 90.00
_space_group_name_H-M_alt 'P n m a'
_space_group_IT_number 62
_space_group_name_Hall '-P 2ac 2n'
loop_
_atom_site_label
_atom_site_fract_x
_atom_site_fract_y
_atom_site_fract_z
Tm1 0.000 0.000 0.000
Re1 0.000 0.250 0.473
O1 0.118 0.071 0.666
O2 0.127 0.250 0.166
```

Most intense lines, 2θ from 10° to 80°, by intensity:
| 2theta | d_spacing | intensity |
| --- | --- | --- |
| 32.7 | 2.736 | 1000 |
| 28.5 | 3.130 | 316 |
| 53.2 | 1.721 | 282 |
| 35.1 | 2.558 | 232 |
| 45.8 | 1.981 | 205 |
| 61.5 | 1.509 | 191 |
| 68.6 | 1.368 | 125 |
| 56.9 | 1.619 | 107 |
| 48.1 | 1.892 | 100 |
| 60.9 | 1.521 | 94 |
| 79.8 | 1.202 | 88 |
| 76.4 | 1.247 | 77 |


# 4
The following is a computed X-ray powder pattern of Y2ReO5. It was derived from DFT lattice parameters and positions (GGA-PBE), using Cu Kα (weighted mean of Kα1 and Kα2).

Structural model:
```
data_Y2ReO5
_chemical_formula_sum 'Y8 Re4 O20'
_cell_length_a 8.596
_cell_length_b 8.596
_cell_length_c 5.680
_cell_angle_alpha 90.00
_cell_angle_beta 90.00
_cell_angle_gamma 90.00
_space_group_name_H-M_alt 'I 4/m'
_space_group_IT_number 87
_space_group_name_Hall '-I 4'
loop_
_atom_site_label
_atom_site_fract_x
_atom_site_fract_y
_atom_site_fract_z
Y1 0.102 0.679 0.000
Re1 0.000 0.000 0.306
O1 0.000 0.500 0.250
O2 0.100 0.196 0.241
```

Most intense lines, 2θ from 10° to 80°, by intensity:
| 2theta | d_spacing | intensity |
| --- | --- | --- |
| 28.0 | 3.184 | 1000 |
| 33.0 | 2.718 | 589 |
| 14.6 | 6.078 | 559 |
| 20.7 | 4.298 | 418 |
| 34.9 | 2.573 | 403 |
| 47.3 | 1.922 | 385 |
| 55.9 | 1.645 | 248 |
| 38.0 | 2.369 | 226 |
| 29.4 | 3.039 | 172 |
| 43.6 | 2.075 | 156 |
| 53.5 | 1.714 | 155 |
| 62.7 | 1.483 | 154 |


# 5
The following is a computed X-ray powder pattern of ZrReO4. It was derived from DFT lattice parameters and positions (GGA-PBE), using Cu Kα (weighted mean of Kα1 and Kα2).

Structural model:
```
data_ZrReO4
_chemical_formula_sum 'Zr2 Re2 O8'
_cell_length_a 3.263
_cell_length_b 6.605
_cell_length_c 7.796
_cell_angle_alpha 111.99
_cell_angle_beta 101.88
_cell_angle_gamma 90.03
_space_group_name_H-M_alt 'P 1'
_space_group_IT_number 1
_space_group_name_Hall 'P 1'
loop_
_atom_site_label
_atom_site_fract_x
_atom_site_fract_y
_atom_site_fract_z
Zr1 0.000 0.000 0.000
Zr2 0.293 0.776 0.581
Re1 0.547 0.549 0.105
Re2 0.742 0.232 0.477
O1 0.037 0.360 0.078
O2 0.039 0.727 0.083
O3 0.247 0.418 0.489
O4 0.257 0.063 0.510
O5 0.427 0.045 0.851
O6 0.602 0.093 0.208
O7 0.691 0.696 0.373
O8 0.866 0.726 0.729
```

Most intense lines, 2θ from 10° to 80°, by intensity:
| 2theta | d_spacing | intensity |
| --- | --- | --- |
| 27.0 | 3.298 | 1000 |
| 32.9 | 2.724 | 800 |
| 25.3 | 3.524 | 775 |
| 33.4 | 2.682 | 515 |
| 33.5 | 2.675 | 509 |
| 23.8 | 3.733 | 505 |
| 22.6 | 3.929 | 439 |
| 52.4 | 1.746 | 376 |
| 51.2 | 1.785 | 349 |
| 36.3 | 2.476 | 250 |
| 38.4 | 2.347 | 250 |
| 12.6 | 7.048 | 249 |


# 6
The following is a computed X-ray powder pattern of Sm2Zn2SeSO2. It was derived from DFT lattice parameters and positions (GGA-PBE), using Cu Kα (weighted mean of Kα1 and Kα2).

Structural model:
```
data_Sm2Zn2SeSO2
_chemical_formula_sum 'Sm2 Zn2 Se1 S1 O2'
_cell_length_a 3.8396
_cell_length_b 3.8396
_cell_length_c 12.3092
_cell_angle_alpha 90.00
_cell_angle_beta 90.00
_cell_angle_gamma 120.00
_space_group_name_H-M_alt 'P 3 m 1'
_space_group_IT_number 156
_space_group_name_Hall 'P 3 -2"'
loop_
_atom_site_label
_atom_site_fract_x
_atom_site_fract_y
_atom_site_fract_z
Sm1 0.0000 0.0000 0.0000
Sm2 0.3333 0.6667 0.5006
Zn1 0.6667 0.3333 0.2197
Zn2 0.6667 0.3333 0.7138
Se1 0.3333 0.6667 0.8380
S1 0.0000 0.0000 0.2656
O1 0.6667 0.3333 0.0538
O2 0.6667 0.3333 0.4615
```

Most intense lines, 2θ from 10° to 80°, by intensity:
| 2theta | d_spacing | intensity |
| --- | --- | --- |
| 34.7 | 2.583 | 1000 |
| 27.8 | 3.210 | 886 |
| 30.6 | 2.926 | 727 |
| 47.4 | 1.920 | 606 |
| 29.0 | 3.077 | 356 |
| 56.5 | 1.629 | 315 |
| 79.8 | 1.201 | 263 |
| 60.1 | 1.541 | 235 |
| 52.4 | 1.746 | 203 |
| 45.9 | 1.979 | 201 |
| 14.4 | 6.155 | 196 |
| 39.9 | 2.259 | 164 |


# 7
The following is a computed X-ray powder pattern of SrSmZn2S2O2. It was derived from DFT lattice parameters and positions (GGA-PBE), using Cu Kα (weighted mean of Kα1 and Kα2).

Structural model:
```
data_SrSmZn2S2O2
_chemical_formula_sum 'Sr1 Sm1 Zn2 S2 O2'
_cell_length_a 3.9904
_cell_length_b 3.9904
_cell_length_c 10.8327
_cell_angle_alpha 90.00
_cell_angle_beta 90.00
_cell_angle_gamma 120.00
_space_group_name_H-M_alt 'P 3 m 1'
_space_group_IT_number 156
_space_group_name_Hall 'P 3 -2"'
loop_
_atom_site_label
_atom_site_fract_x
_atom_site_fract_y
_atom_site_fract_z
Sr1 0.0000 0.0000 0.0000
Sm1 0.3333 0.6667 0.4868
Zn1 0.6667 0.3333 0.2418
Zn2 0.6667 0.3333 0.7296
S1 0.0000 0.0000 0.3128
S2 0.3333 0.6667 0.7831
O1 0.6667 0.3333 0.0641
O2 0.6667 0.3333 0.5453
```

Most intense lines, 2θ from 10° to 80°, by intensity:
| 2theta | d_spacing | intensity |
| --- | --- | --- |
| 27.1 | 3.292 | 1000 |
| 30.7 | 2.913 | 955 |
| 36.0 | 2.497 | 820 |
| 45.5 | 1.995 | 717 |
| 57.4 | 1.606 | 474 |
| 33.1 | 2.708 | 397 |
| 57.6 | 1.600 | 278 |
| 59.3 | 1.559 | 186 |
| 55.8 | 1.646 | 178 |
| 77.8 | 1.228 | 170 |
| 53.7 | 1.706 | 150 |
| 74.8 | 1.270 | 147 |


# 8
The following is a computed X-ray powder pattern of ZnSnSO. It was derived from DFT lattice parameters and positions (GGA-PBE), using Cu Kα (weighted mean of Kα1 and Kα2).

Structural model:
```
data_ZnSnSO
_chemical_formula_sum 'Zn4 Sn4 S4 O4'
_cell_length_a 6.456
_cell_length_b 8.492
_cell_length_c 5.913
_cell_angle_alpha 90.00
_cell_angle_beta 90.00
_cell_angle_gamma 90.00
_space_group_name_H-M_alt 'P c a 21'
_space_group_IT_number 29
_space_group_name_Hall 'P 2c -2ac'
loop_
_atom_site_label
_atom_site_fract_x
_atom_site_fract_y
_atom_site_fract_z
Zn1 0.045 0.112 0.000
Sn1 0.101 0.631 0.948
S1 0.105 0.129 0.609
O1 0.148 0.734 0.629
```

Most intense lines, 2θ from 10° to 80°, by intensity:
| 2theta | d_spacing | intensity |
| --- | --- | --- |
| 29.4 | 3.042 | 1000 |
| 25.1 | 3.548 | 464 |
| 31.6 | 2.833 | 350 |
| 30.2 | 2.956 | 333 |
| 53.2 | 1.723 | 257 |
| 47.4 | 1.920 | 245 |
| 42.6 | 2.123 | 180 |
| 57.2 | 1.610 | 173 |
| 54.0 | 1.699 | 168 |
| 53.1 | 1.725 | 149 |
| 39.7 | 2.271 | 147 |
| 54.6 | 1.682 | 140 |


# 9
The following is a computed X-ray powder pattern of ZnSnSO. It was derived from DFT lattice parameters and positions (GGA-PBE), using Cu Kα (weighted mean of Kα1 and Kα2).

Structural model:
```
data_ZnSnSO
_chemical_formula_sum 'Zn4 Sn4 S4 O4'
_cell_length_a 3.794
_cell_length_b 13.902
_cell_length_c 5.791
_cell_angle_alpha 90.00
_cell_angle_beta 90.00
_cell_angle_gamma 90.00
_space_group_name_H-M_alt 'C m c 21'
_space_group_IT_number 36
_space_group_name_Hall 'C 2c -2'
loop_
_atom_site_label
_atom_site_fract_x
_atom_site_fract_y
_atom_site_fract_z
Zn1 0.000 0.058 0.000
Sn1 0.000 0.337 0.911
S1 0.000 0.357 0.385
O1 0.000 0.071 0.355
```

Most intense lines, 2θ from 10° to 80°, by intensity:
| 2theta | d_spacing | intensity |
| --- | --- | --- |
| 30.4 | 2.936 | 1000 |
| 43.9 | 2.062 | 576 |
| 28.9 | 3.094 | 566 |
| 30.9 | 2.896 | 555 |
| 30.0 | 2.980 | 542 |
| 48.0 | 1.897 | 229 |
| 20.0 | 4.449 | 214 |
| 52.0 | 1.760 | 210 |
| 25.6 | 3.475 | 207 |
| 54.5 | 1.684 | 182 |
| 57.6 | 1.600 | 182 |
| 58.1 | 1.587 | 177 |


# 10
The following is a computed X-ray powder pattern of Sr2TmZnS2O2. It was derived from DFT lattice parameters and positions (GGA-PBE), using Cu Kα (weighted mean of Kα1 and Kα2).

Structural model:
```
data_Sr2TmZnS2O2
_chemical_formula_sum 'Sr2 Tm1 Zn1 S2 O2'
_cell_length_a 3.9364
_cell_length_b 3.9364
_cell_length_c 12.4235
_cell_angle_alpha 90.00
_cell_angle_beta 90.00
_cell_angle_gamma 120.00
_space_group_name_H-M_alt 'P 3 m 1'
_space_group_IT_number 156
_space_group_name_Hall 'P 3 -2"'
loop_
_atom_site_label
_atom_site_fract_x
_atom_site_fract_y
_atom_site_fract_z
Sr1 0.0000 0.0000 0.0000
Sr2 0.3333 0.6667 0.5336
Tm1 0.6667 0.3333 0.2442
Zn1 0.6667 0.3333 0.7534
S1 0.0000 0.0000 0.3625
S2 0.3333 0.6667 0.8261
O1 0.6667 0.3333 0.0780
O2 0.6667 0.3333 0.6017
```

Most intense lines, 2θ from 10° to 80°, by intensity:
| 2theta | d_spacing | intensity |
| --- | --- | --- |
| 29.9 | 2.989 | 1000 |
| 46.1 | 1.968 | 423 |
| 27.1 | 3.288 | 409 |
| 34.1 | 2.632 | 357 |
| 51.6 | 1.770 | 279 |
| 28.7 | 3.106 | 231 |
| 55.3 | 1.663 | 226 |
| 39.2 | 2.296 | 184 |
| 26.1 | 3.409 | 175 |
| 55.9 | 1.644 | 172 |
| 75.3 | 1.262 | 142 |
| 45.2 | 2.008 | 116 |